[1]
For Nd2ZnSb2O, the PBE geometry in the Materials Project gives the theoretical powder diffractogram in this record (Cu Kα, 1.54184 Å).
Neutral-atom scattering factors, no anomalous dispersion.

Cell lengths 3.526, 3.526, 15.967 Å; angles 90.00, 90.00, 90.00 degrees
Space group P4/mmm (No. 123)
Unique sites:
Nd (0.000, 0.000, 0.131)
Zn (0.000, 0.000, 0.500)
Sb (0.000, 0.000, 0.341)
O (0.000, 0.000, 0.000)

Principal peaks in the range 5° ≤ 2θ ≤ 70°, sorted by position:
index	2theta	I (rel.)
0 0 4	22.27	22
1 0 0	25.26	100
0 0 6	33.68	9
1 0 4	33.92	31
1 1 0	36.03	39
1 0 5	38.02	14
1 0 6	42.56	19
1 1 4	42.76	16
1 1 6	50.14	12
2 0 0	51.87	14
2 1 0	58.54	19
2 1 4	63.43	10



[2]
For TlAg3Te2, the PBE geometry in the Materials Project gives the theoretical powder diffractogram in this record (Cu Kα, 1.54184 Å).
Neutral-atom scattering factors, no anomalous dispersion.

Cell lengths 4.109, 16.586, 4.379 Å; angles 90.00, 90.00, 90.00 degrees
Space group Cmmm (No. 65)
Unique sites:
Tl (0.000, 0.000, 0.000)
Ag (0.000, 0.318, 0.000)
Ag (0.000, 0.500, 0.500)
Te (0.000, 0.152, 0.500)

Principal peaks in the range 5° ≤ 2θ ≤ 70°, sorted by position:
index	2theta	I (rel.)
0 2 0	10.67	4
1 1 0	22.29	5
0 4 1	29.67	8
0 6 0	32.39	24
1 3 1	34.03	100
0 0 2	41.23	15
2 0 0	44.09	18
0 6 2	53.38	12
2 6 0	55.75	10
1 9 1	58.83	13
0 10 1	59.61	3
2 0 2	61.94	13



[3]
For KTe3Mo3, the PBE geometry in the Materials Project gives the theoretical powder diffractogram in this record (Cu Kα, 1.54184 Å).
Neutral-atom scattering factors, no anomalous dispersion.

Cell lengths 9.8470, 9.8470, 4.6290 Å; angles 90.00, 90.00, 120.00 degrees
Space group P6_3/m (No. 176)
Unique sites:
K (0.3333, 0.6667, 0.2500)
Te (0.0564, 0.6989, 0.7500)
Mo (0.0270, 0.8586, 0.2500)

Principal peaks in the range 5° ≤ 2θ ≤ 70°, sorted by position:
index	2theta	I (rel.)
1 0 0	10.37	100
1 1 1	26.43	34
1 2 0	27.68	17
2 0 1	28.46	8
3 0 0	31.47	10
1 2 1	33.89	21
1 3 0	38.05	11
0 0 2	38.91	20
2 2 1	41.55	38
1 3 1	42.94	31
2 3 1	50.66	14
5 1 0	60.44	8



[4]
For GdPHC2O6, the PBE geometry in the Materials Project gives the theoretical powder diffractogram in this record (Cu Kα, 1.54184 Å).
Neutral-atom scattering factors, no anomalous dispersion.

Cell lengths 15.998, 10.192, 8.200 Å; angles 90.00, 104.73, 90.00 degrees
Space group C2/m (No. 12)
Unique sites:
Gd (0.207, 0.196, 0.242)
P (0.185, 0.500, 0.976)
P (0.200, 0.000, 0.529)
H (0.095, 0.500, 0.913)
H (0.147, 0.000, 0.643)
C (0.033, 0.277, 0.403)
C (0.060, 0.276, 0.592)
O (0.072, 0.278, 0.291)
O (0.101, 0.108, 0.008)
O (0.130, 0.274, 0.698)
O (0.142, 0.000, 0.345)
O (0.211, 0.373, 0.074)
O (0.225, 0.500, 0.820)
O (0.247, 0.373, 0.451)

Principal peaks in the range 5° ≤ 2θ ≤ 70°, sorted by position:
index	2theta	I (rel.)
2 0 0	11.44	100
1 1 -1	14.16	12
1 1 1	16.31	11
0 2 0	17.40	22
2 0 1	17.94	13
0 0 2	22.43	19
4 0 -1	22.87	14
0 2 2	28.55	57
6 2 -1	38.17	11
6 0 1	39.39	10
5 3 -2	41.69	10
1 5 -1	46.00	11